(1)
Starting from a structure optimized by DFT (GGA-PBE), the powder X-ray diffraction pattern of Er4Tl2Ag3 was calculated for CuKα.
Lines closer than 0.1° are merged.

Atomic structure:
Cell lengths 5.5189, 5.5189, 9.2488 Å; angles 101.52, 101.52, 52.88 degrees
Fractional positions:
Er  0.0545  0.0545  0.3410
Er  0.3594  0.3594  0.1041
Er  0.6406  0.6406  0.8959
Er  0.9455  0.9455  0.6590
Tl  0.2765  0.2765  0.7435
Tl  0.7235  0.7235  0.2565
Ag  0.0000  0.0000  0.0000
Ag  0.3632  0.3632  0.4314
Ag  0.6368  0.6368  0.5686

Largest 10 diffraction maxima, sorted by position, 10 to 90 degrees two-theta:
2θ = 30.02°, I 189
2θ = 32.94°, I 404
2θ = 33.33°, I 557
2θ = 34.44°, I 1000
2θ = 36.58°, I 670
2θ = 38.69°, I 189
2θ = 42.54°, I 116
2θ = 48.01°, I 106
2θ = 54.29°, I 140
2θ = 64.47°, I 161


(2)
Starting from a structure optimized by DFT (GGA-PBE), the powder X-ray diffraction pattern of Er4TlAg5 was calculated for CuKα.
Lines closer than 0.1° are merged.

Atomic structure:
Cell lengths 3.6334, 3.6334, 17.6417 Å; angles 90.00, 90.00, 90.00 degrees
Fractional positions:
Er  0.0000  0.0000  0.1024
Er  0.0000  0.0000  0.3058
Er  0.0000  0.0000  0.6942
Er  0.0000  0.0000  0.8976
Tl  0.0000  0.0000  0.5000
Ag  0.5000  0.5000  0.0000
Ag  0.5000  0.5000  0.2050
Ag  0.5000  0.5000  0.3974
Ag  0.5000  0.5000  0.6026
Ag  0.5000  0.5000  0.7950

Largest 10 diffraction maxima, sorted by position, 10 to 90 degrees two-theta:
2θ = 34.92°, I 529
2θ = 35.46°, I 1000
2θ = 50.22°, I 187
2θ = 51.82°, I 80
2θ = 62.98°, I 368
2θ = 64.02°, I 168
2θ = 75.05°, I 105
2θ = 84.28°, I 84
2θ = 84.60°, I 82
2θ = 87.10°, I 70


(3)
Starting from a structure optimized by DFT (GGA-PBE), the powder X-ray diffraction pattern of Er3Tl3Ag2 was calculated for CuKα.
Lines closer than 0.1° are merged.

Atomic structure:
Cell lengths 6.0632, 6.0632, 15.4452 Å; angles 90.00, 90.00, 134.71 degrees
Fractional positions:
Er  0.0805  0.9195  0.6095
Er  0.0805  0.9195  0.8905
Er  0.3393  0.6607  0.7500
Er  0.6607  0.3393  0.2500
Er  0.9195  0.0805  0.1095
Er  0.9195  0.0805  0.3905
Tl  0.3765  0.6235  0.5373
Tl  0.3765  0.6235  0.9627
Tl  0.3826  0.6174  0.2500
Tl  0.6174  0.3826  0.7500
Tl  0.6235  0.3765  0.0373
Tl  0.6235  0.3765  0.4627
Ag  0.2073  0.7927  0.1152
Ag  0.2073  0.7927  0.3848
Ag  0.7927  0.2073  0.6152
Ag  0.7927  0.2073  0.8848

Largest 10 diffraction maxima, sorted by position, 10 to 90 degrees two-theta:
2θ = 30.68°, I 164
2θ = 31.10°, I 1000
2θ = 31.99°, I 235
2θ = 32.52°, I 196
2θ = 35.39°, I 747
2θ = 38.56°, I 460
2θ = 38.71°, I 361
2θ = 44.12°, I 140
2θ = 61.29°, I 133
2θ = 65.16°, I 142


(4)
Starting from a structure optimized by DFT (GGA-PBE), the powder X-ray diffraction pattern of Er3Tm2Ag3 was calculated for CuKα.
Lines closer than 0.1° are merged.

Atomic structure:
Cell lengths 11.1321, 11.1321, 11.1321 Å; angles 161.32, 152.95, 33.07 degrees
Fractional positions:
Er  0.0000  0.0000  0.0000
Er  0.3791  0.8791  0.5000
Er  0.6209  0.1209  0.5000
Tm  0.2314  0.2314  0.0000
Tm  0.7686  0.7686  0.0000
Ag  0.1174  0.6174  0.5000
Ag  0.5000  0.5000  0.0000
Ag  0.8826  0.3826  0.5000

Largest 10 diffraction maxima, sorted by position, 10 to 90 degrees two-theta:
2θ = 33.59°, I 217
2θ = 34.45°, I 271
2θ = 34.58°, I 1000
2θ = 48.88°, I 150
2θ = 50.52°, I 91
2θ = 60.70°, I 107
2θ = 61.80°, I 183
2θ = 62.04°, I 80
2θ = 62.58°, I 95
2θ = 72.94°, I 98